# Pr10S19
Computed powder diffractogram, λ = 1.5418 Å (Cu Kα). Input: a cell relaxed with GGA-PBE.
Kinematic intensities with the Lorentz-polarization factor, no thermal factor.

Principal peaks in the range 10° ≤ 2θ ≤ 80°, by intensity:
d (Å), I (rel.), h k l
3.621, 100, 1 2 2
2.341, 61, 3 1 4
2.857, 48, 3 1 0
2.258, 41, 1 2 6
4.085, 29, 0 0 4
2.020, 29, 2 4 0
1.764, 27, 5 0 2
1.506, 22, 5 0 6
2.697, 16, 3 1 2
1.811, 16, 2 4 4

Structural model:
a = 9.034 Å, b = 9.034 Å, c = 16.339 Å
α = 90.00°, β = 90.00°, γ = 90.00°
Fractional coordinates of all 58 atoms:
1 Pr 0.041 0.348 0.122
2 Pr 0.056 0.354 0.603
3 Pr 0.146 0.056 0.897
4 Pr 0.152 0.041 0.378
5 Pr 0.250 0.750 0.114
6 Pr 0.250 0.750 0.614
7 Pr 0.348 0.459 0.378
8 Pr 0.354 0.444 0.897
9 Pr 0.444 0.146 0.603
10 Pr 0.459 0.152 0.122
11 Pr 0.541 0.848 0.878
12 Pr 0.556 0.854 0.397
13 Pr 0.646 0.556 0.103
14 Pr 0.652 0.541 0.622
15 Pr 0.750 0.250 0.386
16 Pr 0.750 0.250 0.886
17 Pr 0.848 0.959 0.622
18 Pr 0.854 0.944 0.103
19 Pr 0.944 0.646 0.397
20 Pr 0.959 0.652 0.878
21 S 0.030 0.803 0.249
22 S 0.049 0.348 0.426
23 S 0.053 0.352 0.938
24 S 0.078 0.890 0.750
25 S 0.110 0.578 0.250
26 S 0.148 0.053 0.562
27 S 0.152 0.049 0.074
28 S 0.197 0.530 0.749
29 S 0.250 0.250 0.250
30 S 0.250 0.750 0.434
31 S 0.250 0.750 0.934
32 S 0.303 0.970 0.749
33 S 0.348 0.451 0.074
34 S 0.352 0.447 0.562
35 S 0.390 0.922 0.250
36 S 0.422 0.610 0.750
37 S 0.447 0.148 0.938
38 S 0.451 0.152 0.426
39 S 0.470 0.697 0.249
40 S 0.530 0.303 0.751
41 S 0.549 0.848 0.574
42 S 0.553 0.852 0.062
43 S 0.578 0.390 0.250
44 S 0.610 0.078 0.750
45 S 0.648 0.553 0.438
46 S 0.652 0.549 0.926
47 S 0.697 0.030 0.251
48 S 0.750 0.250 0.066
49 S 0.750 0.250 0.566
50 S 0.750 0.750 0.750
51 S 0.803 0.470 0.251
52 S 0.848 0.951 0.926
53 S 0.852 0.947 0.438
54 S 0.890 0.422 0.750
55 S 0.922 0.110 0.250
56 S 0.947 0.648 0.062
57 S 0.951 0.652 0.574
58 S 0.970 0.197 0.751